No. 1
CeErTlIn: calculated powder diffractogram (a wavelength of 1.5418 Å), based on the GGA-PBE geometry in Alexandria.
Kinematic intensities with the Lorentz-polarization factor, no thermal factor.

Principal peaks in the range 2θ from 15° to 90°, in order of rising 2θ:
20.14°, rel. 4; 33.17°, rel. 100; 39.12°, rel. 3; 47.62°, rel. 18; 52.20°, rel. 1; 59.27°, rel. 38; 63.26°, rel. 1; 69.63°, rel. 12; 79.34°, rel. 16; 88.74°, rel. 4

Atomic structure:
```
CeErTlIn
1.0
0.000 3.819 3.819
3.819 0.000 3.819
3.819 3.819 0.000
Ce Er Tl In
1 1 1 1
direct
0.000 0.000 0.000
0.500 0.500 0.500
0.750 0.750 0.750
0.250 0.250 0.250
```


No. 2
ErMg2Zr: calculated powder diffractogram (a wavelength of 1.5418 Å), based on the GGA-PBE geometry in Alexandria.
Kinematic intensities with the Lorentz-polarization factor, no thermal factor.

Principal peaks in the range 2θ from 15° to 90°, in order of rising 2θ:
19.46°, rel. 55; 28.37°, rel. 45; 32.73°, rel. 87; 33.56°, rel. 56; 34.43°, rel. 100; 34.95°, rel. 40; 36.58°, rel. 54; 40.14°, rel. 46; 55.42°, rel. 36; 67.26°, rel. 30

Atomic structure:
```
ErMg2Zr
1.0
3.294 0.000 0.000
0.000 4.913 0.000
0.000 0.000 12.289
Er Mg Zr
2 4 2
direct
0.250 0.250 0.201
0.750 0.750 0.799
0.250 0.250 0.683
0.250 0.750 0.545
0.750 0.250 0.455
0.750 0.750 0.317
0.250 0.250 0.944
0.750 0.750 0.056
```